This entry pairs a crystal structure of Ba2In15Bi2 with its simulated powder X-ray diffraction pattern. Radiation: copper Kα. Structure: a DFT-relaxed cell (PBE, Alexandria).
Kinematic intensities with the Lorentz-polarization factor, no thermal factor.

Principal peaks in the range 2θ from 15° to 90°, sorted by position:
hkl	2theta	I (rel.)
3 0 0	28.27	52
0 2 4	28.59	64
0 0 6	32.34	39
0 3 3	32.65	79
2 2 0	32.75	90
2 0 5	32.93	50
2 1 4	33.04	32
2 2 3	36.66	100
0 3 9	57.87	33
6 0 0	58.46	31

Cell and atoms:
```
data_Ba2In15Bi2
_chemical_formula_sum 'Ba6 In45 Bi6'
_space_group_name_H-M_alt 'R -3 m'
_space_group_IT_number 166
_space_group_name_Hall '-R 3 2"'
_cell_length_a 10.9370
_cell_length_b 10.9370
_cell_length_c 16.6100
_cell_angle_alpha 90.00
_cell_angle_beta 90.00
_cell_angle_gamma 120.00
loop_
_atom_site_label
_atom_site_type_symbol
_atom_site_fract_x
_atom_site_fract_y
_atom_site_fract_z
Ba1 Ba 0.0000 0.0000 0.1571
In1 In 0.0000 0.2929 0.5000
In2 In 0.0000 0.5000 0.0000
In3 In 0.0103 0.5052 0.6445
Bi1 Bi 0.0000 0.0000 0.3864
```



This entry pairs a crystal structure of Na16AlIn12 with its simulated powder X-ray diffraction pattern. Radiation: copper Kα. Structure: a DFT-relaxed cell (PBE, Alexandria).
Kinematic intensities with the Lorentz-polarization factor, no thermal factor.

Principal peaks in the range 2θ from 15° to 90°, sorted by position:
hkl	2theta	I (rel.)
1 3 -1	18.28	100
2 2 -1	18.45	48
1 1 1	18.76	44
1 1 -2	18.93	70
4 0 -1	32.45	53
1 3 2	32.68	41
1 3 -3	32.88	42
2 6 -1	35.28	54
3 5 -2	35.60	39
3 1 1	36.22	47

Cell and atoms:
```
data_Na16AlIn12
_chemical_formula_sum 'Na32 Al2 In24'
_space_group_name_H-M_alt 'C 1 m 1'
_space_group_IT_number 8
_cell_length_a 11.6753
_cell_length_b 16.9584
_cell_length_c 9.9128
_cell_angle_alpha 90.00
_cell_angle_beta 125.24
_cell_angle_gamma 90.00
loop_
_space_group_symop_operation_xyz
'x,y,z'
'x,-y,z'
'x+1/2,y+1/2,z'
'x+1/2,-y+1/2,z'
loop_
_atom_site_label
_atom_site_type_symbol
_atom_site_fract_x
_atom_site_fract_y
_atom_site_fract_z
Na1 Na 0.0000 0.0000 0.0000
Na2 Na 0.0067 0.0000 0.3619
Na3 Na 0.0155 0.2970 0.6669
Na4 Na 0.0470 0.3578 0.3538
Na5 Na 0.0903 0.5000 0.6295
Na6 Na 0.2069 0.2080 0.0513
Na7 Na 0.3317 0.3332 0.3671
Na8 Na 0.3458 0.3418 0.7708
Na9 Na 0.3574 0.0000 0.7124
Na10 Na 0.4340 0.1564 0.9554
Al1 Al 0.3143 0.0000 0.0753
In1 In 0.1054 0.0905 0.7476
In2 In 0.1132 0.5000 0.1800
In3 In 0.1915 0.1820 0.5487
In4 In 0.2167 0.4102 0.9891
In5 In 0.2790 0.0889 0.3412
In6 In 0.3264 0.5000 0.5578
In7 In 0.4955 0.3193 0.1759
```



This entry pairs a crystal structure of Li6Tl5Cu with its simulated powder X-ray diffraction pattern. Radiation: copper Kα. Structure: a DFT-relaxed cell (PBE, Alexandria).
Kinematic intensities with the Lorentz-polarization factor, no thermal factor.

Principal peaks in the range 2θ from 15° to 90°, sorted by position:
hkl	2theta	I (rel.)
1 0 3	26.11	100
0 2 0	26.28	50
0 0 6	37.01	22
1 2 3	37.39	89
2 0 0	37.52	22
0 2 6	45.96	22
2 2 0	46.39	22
2 2 6	60.77	19
3 0 3	61.03	29
2 4 0	67.63	24

Cell and atoms:
```
data_Li6Tl5Cu
_chemical_formula_sum 'Li12 Tl10 Cu2'
_space_group_name_H-M_alt 'I m m m'
_space_group_IT_number 71
_space_group_name_Hall '-I 2 2'
_cell_length_a 4.7946
_cell_length_b 6.7822
_cell_length_c 14.5743
_cell_angle_alpha 90.00
_cell_angle_beta 90.00
_cell_angle_gamma 90.00
loop_
_atom_site_label
_atom_site_type_symbol
_atom_site_fract_x
_atom_site_fract_y
_atom_site_fract_z
Li1 Li 0.0000 0.2389 0.0000
Li2 Li 0.0000 0.2590 0.3405
Tl1 Tl 0.0000 0.0000 0.1595
Tl2 Tl 0.0000 0.0000 0.5000
Tl3 Tl 0.0000 0.5000 0.1690
Cu1 Cu 0.0000 0.5000 0.5000
```



This entry pairs a crystal structure of BeNi2Ru with its simulated powder X-ray diffraction pattern. Radiation: copper Kα. Structure: a DFT-relaxed cell (PBE, Alexandria).
Kinematic intensities with the Lorentz-polarization factor, no thermal factor.

Principal peaks in the range 2θ from 15° to 90°, sorted by position:
hkl	2theta	I (rel.)
0 0 2	28.66	13
1 0 0	34.02	20
1 0 1	37.04	32
0 0 3	43.59	12
1 0 2	45.06	100
1 1 0	48.88	43
1 1 3	67.54	12
2 0 0	71.61	13
1 1 4	80.35	13
2 1 2	88.75	27

Cell and atoms:
```
data_BeNi2Ru
_chemical_formula_sum 'Be1 Ni2 Ru1'
_space_group_name_H-M_alt 'P 4 m m'
_space_group_IT_number 99
_cell_length_a 2.6353
_cell_length_b 2.6353
_cell_length_c 6.2296
_cell_angle_alpha 90.00
_cell_angle_beta 90.00
_cell_angle_gamma 90.00
loop_
_space_group_symop_operation_xyz
'x,y,z'
'-y,x,z'
'-x,-y,z'
'y,-x,z'
'-x,y,z'
'y,x,z'
'x,-y,z'
'-y,-x,z'
loop_
_atom_site_label
_atom_site_type_symbol
_atom_site_fract_x
_atom_site_fract_y
_atom_site_fract_z
Be1 Be 0.0000 0.0000 0.0000
Ni1 Ni 0.0000 0.0000 0.4692
Ni2 Ni 0.5000 0.5000 0.1962
Ru1 Ru 0.5000 0.5000 0.7520
```



This entry pairs a crystal structure of PmYTm2Sc4 with its simulated powder X-ray diffraction pattern. Radiation: copper Kα. Structure: a DFT-relaxed cell (PBE, Alexandria).
Kinematic intensities with the Lorentz-polarization factor, no thermal factor.

Principal peaks in the range 2θ from 15° to 90°, sorted by position:
hkl	2theta	I (rel.)
2 2 0	21.11	49
0 4 0	28.20	45
2 2 -2	30.87	19
4 0 0	31.73	100
0 4 2	42.96	57
4 4 0	42.97	28
2 2 2	44.87	14
4 0 2	56.53	19
4 4 2	64.35	25
4 8 0	67.93	21

Cell and atoms:
```
data_PmYTm2Sc4
_chemical_formula_sum 'Pm4 Y4 Tm8 Sc16'
_space_group_name_H-M_alt 'C 1 2/c 1'
_space_group_IT_number 15
_cell_length_a 13.0204
_cell_length_b 12.6576
_cell_length_c 6.5152
_cell_angle_alpha 90.00
_cell_angle_beta 120.02
_cell_angle_gamma 90.00
loop_
_space_group_symop_operation_xyz
'x,y,z'
'-x,-y,-z'
'-x,y,-z+1/2'
'x,-y,z+1/2'
'x+1/2,y+1/2,z'
'-x+1/2,-y+1/2,-z'
'-x+1/2,y+1/2,-z+1/2'
'x+1/2,-y+1/2,z+1/2'
loop_
_atom_site_label
_atom_site_type_symbol
_atom_site_fract_x
_atom_site_fract_y
_atom_site_fract_z
Pm1 Pm 0.0000 0.0000 0.0000
Y1 Y 0.2500 0.2500 0.0000
Tm1 Tm 0.0000 0.5000 0.0000
Tm2 Tm 0.2500 0.2500 0.5000
Sc1 Sc 0.9999 0.2535 0.0026
Sc2 Sc 0.2466 0.4975 0.4954
```



This entry pairs a crystal structure of SrAcSm with its simulated powder X-ray diffraction pattern. Radiation: copper Kα. Structure: a DFT-relaxed cell (PBE, Alexandria).
Kinematic intensities with the Lorentz-polarization factor, no thermal factor.

Principal peaks in the range 2θ from 15° to 90°, sorted by position:
hkl	2theta	I (rel.)
2 0 0	16.59	16
2 0 2	28.63	100
3 1 0	28.94	92
2 2 2	41.16	38
5 1 2	51.10	41
6 0 0	51.29	19
3 1 4	56.46	26
6 2 0	59.97	12
5 3 2	67.78	18
6 0 4	72.38	12

Cell and atoms:
```
data_SrAcSm
_chemical_formula_sum 'Sr4 Ac4 Sm4'
_space_group_name_H-M_alt 'C 1 m 1'
_space_group_IT_number 8
_cell_length_a 10.6885
_cell_length_b 6.1697
_cell_length_c 7.6782
_cell_angle_alpha 90.00
_cell_angle_beta 90.00
_cell_angle_gamma 90.00
loop_
_space_group_symop_operation_xyz
'x,y,z'
'x,-y,z'
'x+1/2,y+1/2,z'
'x+1/2,-y+1/2,z'
loop_
_atom_site_label
_atom_site_type_symbol
_atom_site_fract_x
_atom_site_fract_y
_atom_site_fract_z
Sr1 Sr 0.0000 0.0000 0.0000
Sr2 Sr 0.1666 0.5000 0.9984
Ac1 Ac 0.3331 0.0000 0.2682
Ac2 Ac 0.3332 0.0000 0.7302
Sm1 Sm 0.1660 0.5000 0.4986
Sm2 Sm 0.4993 0.5000 0.4998
```



Please write out number 2 again, unchanged.
This entry pairs a crystal structure of Na16AlIn12 with its simulated powder X-ray diffraction pattern. Radiation: copper Kα. Structure: a DFT-relaxed cell (PBE, Alexandria).
Kinematic intensities with the Lorentz-polarization factor, no thermal factor.

Principal peaks in the range 2θ from 15° to 90°, sorted by position:
hkl	2theta	I (rel.)
1 3 -1	18.28	100
2 2 -1	18.45	48
1 1 1	18.76	44
1 1 -2	18.93	70
4 0 -1	32.45	53
1 3 2	32.68	41
1 3 -3	32.88	42
2 6 -1	35.28	54
3 5 -2	35.60	39
3 1 1	36.22	47

Cell and atoms:
```
data_Na16AlIn12
_chemical_formula_sum 'Na32 Al2 In24'
_space_group_name_H-M_alt 'C 1 m 1'
_space_group_IT_number 8
_cell_length_a 11.6753
_cell_length_b 16.9584
_cell_length_c 9.9128
_cell_angle_alpha 90.00
_cell_angle_beta 125.24
_cell_angle_gamma 90.00
loop_
_space_group_symop_operation_xyz
'x,y,z'
'x,-y,z'
'x+1/2,y+1/2,z'
'x+1/2,-y+1/2,z'
loop_
_atom_site_label
_atom_site_type_symbol
_atom_site_fract_x
_atom_site_fract_y
_atom_site_fract_z
Na1 Na 0.0000 0.0000 0.0000
Na2 Na 0.0067 0.0000 0.3619
Na3 Na 0.0155 0.2970 0.6669
Na4 Na 0.0470 0.3578 0.3538
Na5 Na 0.0903 0.5000 0.6295
Na6 Na 0.2069 0.2080 0.0513
Na7 Na 0.3317 0.3332 0.3671
Na8 Na 0.3458 0.3418 0.7708
Na9 Na 0.3574 0.0000 0.7124
Na10 Na 0.4340 0.1564 0.9554
Al1 Al 0.3143 0.0000 0.0753
In1 In 0.1054 0.0905 0.7476
In2 In 0.1132 0.5000 0.1800
In3 In 0.1915 0.1820 0.5487
In4 In 0.2167 0.4102 0.9891
In5 In 0.2790 0.0889 0.3412
In6 In 0.3264 0.5000 0.5578
In7 In 0.4955 0.3193 0.1759
```